# Th2Si3Pt
Computed PXRD pattern, Cu Kα (λ = 1.5418 Å). Input: the PBE geometry in the Materials Project.
Intensities are scaled so that the largest is 100.

Cell and atoms:
Cell: 7.6753 7.6753 7.6753 Å, 148.20 147.93 45.79°
Element x y z (fractional)
Th: 0.0000 0.0000 0.0000
Th: 0.7451 0.2451 0.5000
Si: 0.1603 0.6603 0.5000
Si: 0.3286 0.8286 0.5000
Si: 0.5804 0.5804 0.0000
Pt: 0.4118 0.4118 0.0000

Most intense lines, 10° ≤ 2θ ≤ 90°, by angle:
2θ = 22.05°, I 25; 2θ = 28.31°, I 43; 2θ = 32.55°, I 100; 2θ = 38.25°, I 19; 2θ = 38.35°, I 29; 2θ = 42.64°, I 18; 2θ = 43.02°, I 17; 2θ = 50.06°, I 21; 2θ = 52.30°, I 16; 2θ = 58.68°, I 17

# KGe
Computed PXRD pattern, Cu Kα (λ = 1.5418 Å). Input: the PBE geometry in the Materials Project.
Intensities are scaled so that the largest is 100.

Cell and atoms:
Cell: 11.7209 11.7209 11.7209 Å, 124.71 124.71 82.02°
Element x y z (fractional)
K: 0.0018 0.2518 0.5036
K: 0.1160 0.7500 0.8660
K: 0.2482 0.4982 0.9964
K: 0.2500 0.1160 0.8660
K: 0.2500 0.6160 0.3660
K: 0.2518 0.2482 0.2500
K: 0.3840 0.2500 0.6340
K: 0.4982 0.0018 0.2500
K: 0.5018 0.9982 0.7500
K: 0.6160 0.7500 0.3660
K: 0.7482 0.7518 0.7500
K: 0.7500 0.3840 0.6340
K: 0.7500 0.8840 0.1340
K: 0.7518 0.5018 0.0036
K: 0.8840 0.2500 0.1340
K: 0.9982 0.7482 0.4964
Ge: 0.0159 0.7169 0.0866
Ge: 0.0706 0.9841 0.2010
Ge: 0.1303 0.9294 0.4134
Ge: 0.2169 0.5159 0.5866
Ge: 0.2831 0.8697 0.2990
Ge: 0.3697 0.7831 0.7990
Ge: 0.4294 0.6303 0.9134
Ge: 0.4841 0.5706 0.7010
Ge: 0.5159 0.4294 0.2990
Ge: 0.5706 0.3697 0.0866
Ge: 0.6303 0.2169 0.2010
Ge: 0.7169 0.1303 0.7010
Ge: 0.7831 0.4841 0.4134
Ge: 0.8697 0.0706 0.5866
Ge: 0.9294 0.0159 0.7990
Ge: 0.9841 0.2831 0.9134

Most intense lines, 10° ≤ 2θ ≤ 90°, by angle:
2θ = 15.27°, I 100; 2θ = 16.30°, I 26; 2θ = 30.05°, I 56; 2θ = 31.26°, I 52; 2θ = 32.97°, I 38; 2θ = 33.36°, I 21; 2θ = 34.51°, I 23; 2θ = 39.25°, I 26; 2θ = 57.04°, I 16; 2θ = 58.51°, I 17

# TmBiO3
Computed PXRD pattern, Cu Kα (λ = 1.5418 Å). Input: the PBE geometry in the Materials Project.
Intensities are scaled so that the largest is 100.

Cell and atoms:
Cell: 6.1052 6.1052 6.1052 Å, 58.51 58.51 58.51°
Element x y z (fractional)
Tm: 0.0000 0.0000 0.0000
Tm: 0.5000 0.5000 0.5000
Bi: 0.2141 0.2141 0.2141
Bi: 0.7141 0.7141 0.7141
O: 0.1468 0.8070 0.3637
O: 0.3070 0.6468 0.8637
O: 0.3637 0.1468 0.8070
O: 0.6468 0.8637 0.3070
O: 0.8070 0.3637 0.1468
O: 0.8637 0.3070 0.6468

Most intense lines, 10° ≤ 2θ ≤ 90°, by angle:
2θ = 20.82°, I 19; 2θ = 29.27°, I 91; 2θ = 29.95°, I 100; 2θ = 42.37°, I 40; 2θ = 47.21°, I 31; 2θ = 52.75°, I 40; 2θ = 53.17°, I 26; 2θ = 62.23°, I 14; 2θ = 70.23°, I 16; 2θ = 86.26°, I 12

# RbAlCuF6
Computed PXRD pattern, Cu Kα (λ = 1.5418 Å). Input: the PBE geometry in the Materials Project.
Intensities are scaled so that the largest is 100.

Cell and atoms:
Cell: 6.8621 7.1938 10.2194 Å, 90.00 90.00 90.00°
Element x y z (fractional)
Rb: 0.0132 0.2500 0.1289
Rb: 0.4868 0.7500 0.6289
Rb: 0.5132 0.2500 0.3711
Rb: 0.9868 0.7500 0.8711
Al: 0.0000 0.0000 0.5000
Al: 0.0000 0.5000 0.5000
Al: 0.5000 0.0000 0.0000
Al: 0.5000 0.5000 0.0000
Cu: 0.2105 0.2500 0.7557
Cu: 0.2895 0.7500 0.2557
Cu: 0.7105 0.2500 0.7443
Cu: 0.7895 0.7500 0.2443
F: 0.0442 0.7500 0.1694
F: 0.0480 0.2500 0.4746
F: 0.1450 0.0036 0.6493
F: 0.1450 0.4964 0.6493
F: 0.2183 0.5499 0.4071
F: 0.2183 0.9501 0.4071
F: 0.2817 0.0499 0.9071
F: 0.2817 0.4501 0.9071
F: 0.3550 0.5036 0.1493
F: 0.3550 0.9964 0.1493
F: 0.4520 0.7500 0.9746
F: 0.4558 0.2500 0.6694
F: 0.5442 0.7500 0.3306
F: 0.5480 0.2500 0.0254
F: 0.6450 0.0036 0.8507
F: 0.6450 0.4964 0.8507
F: 0.7183 0.5499 0.0929
F: 0.7183 0.9501 0.0929
F: 0.7817 0.0499 0.5929
F: 0.7817 0.4501 0.5929
F: 0.8550 0.5036 0.3507
F: 0.8550 0.9964 0.3507
F: 0.9520 0.7500 0.5254
F: 0.9558 0.2500 0.8306

Most intense lines, 10° ≤ 2θ ≤ 90°, by angle:
2θ = 24.75°, I 23; 2θ = 25.01°, I 41; 2θ = 29.00°, I 51; 2θ = 29.33°, I 100; 2θ = 30.15°, I 83; 2θ = 30.39°, I 26; 2θ = 38.70°, I 30; 2θ = 46.31°, I 29; 2θ = 50.77°, I 24; 2θ = 51.31°, I 49

# Mn7SnN6
Computed PXRD pattern, Cu Kα (λ = 1.5418 Å). Input: the PBE geometry in the Materials Project.
Intensities are scaled so that the largest is 100.

Cell and atoms:
Cell: 9.3237 5.3937 11.7663 Å, 90.00 90.00 90.00°
Element x y z (fractional)
Mn: 0.0000 0.2244 0.2500
Mn: 0.0000 0.7756 0.7500
Mn: 0.0382 0.1938 0.5436
Mn: 0.0382 0.8062 0.0436
Mn: 0.1868 0.3663 0.1003
Mn: 0.1868 0.6337 0.6003
Mn: 0.2370 0.1016 0.3814
Mn: 0.2370 0.8984 0.8814
Mn: 0.2630 0.3984 0.8814
Mn: 0.2630 0.6016 0.3814
Mn: 0.3132 0.1337 0.6003
Mn: 0.3132 0.8663 0.1003
Mn: 0.4618 0.3062 0.0436
Mn: 0.4618 0.6938 0.5436
Mn: 0.5000 0.2756 0.7500
Mn: 0.5000 0.7244 0.2500
Mn: 0.5382 0.3062 0.4564
Mn: 0.5382 0.6938 0.9564
Mn: 0.6868 0.1337 0.8997
Mn: 0.6868 0.8663 0.3997
Mn: 0.7370 0.3984 0.6186
Mn: 0.7370 0.6016 0.1186
Mn: 0.7630 0.1016 0.1186
Mn: 0.7630 0.8984 0.6186
Mn: 0.8132 0.3663 0.3997
Mn: 0.8132 0.6337 0.8997
Mn: 0.9618 0.1938 0.9564
Mn: 0.9618 0.8062 0.4564
Sn: 0.0000 0.2963 0.7500
Sn: 0.0000 0.7037 0.2500
Sn: 0.5000 0.2037 0.2500
Sn: 0.5000 0.7963 0.7500
N: 0.0431 0.1295 0.0974
N: 0.0431 0.8705 0.5974
N: 0.1923 0.3553 0.2691
N: 0.1923 0.6447 0.7691
N: 0.2027 0.3544 0.5055
N: 0.2027 0.6456 0.0055
N: 0.2973 0.1456 0.0055
N: 0.2973 0.8544 0.5055
N: 0.3077 0.1447 0.7691
N: 0.3077 0.8553 0.2691
N: 0.4569 0.3705 0.5974
N: 0.4569 0.6295 0.0974
N: 0.5431 0.3705 0.9026
N: 0.5431 0.6295 0.4026
N: 0.6923 0.1447 0.7309
N: 0.6923 0.8553 0.2309
N: 0.7027 0.1456 0.4945
N: 0.7027 0.8544 0.9945
N: 0.7973 0.3544 0.9945
N: 0.7973 0.6456 0.4945
N: 0.8077 0.3553 0.2309
N: 0.8077 0.6447 0.7309
N: 0.9569 0.1295 0.4026
N: 0.9569 0.8705 0.9026

Most intense lines, 10° ≤ 2θ ≤ 90°, by angle:
2θ = 24.35°, I 50; 2θ = 33.23°, I 40; 2θ = 34.16°, I 55; 2θ = 35.48°, I 38; 2θ = 36.10°, I 100; 2θ = 38.60°, I 93; 2θ = 43.02°, I 37; 2θ = 45.64°, I 24; 2θ = 46.32°, I 27; 2θ = 52.54°, I 25

# Na3CuF6
Computed PXRD pattern, Cu Kα (λ = 1.5418 Å). Input: the PBE geometry in the Materials Project.
Intensities are scaled so that the largest is 100.

Cell and atoms:
Cell: 5.5496 5.7608 9.7035 Å, 90.00 124.79 90.00°
Element x y z (fractional)
Na: 0.0000 0.0000 0.0000
Na: 0.0000 0.5000 0.5000
Na: 0.2300 0.0578 0.7447
Na: 0.2300 0.4422 0.2447
Na: 0.7700 0.5578 0.7553
Na: 0.7700 0.9422 0.2553
Cu: 0.5000 0.0000 0.5000
Cu: 0.5000 0.5000 0.0000
F: 0.1616 0.1756 0.4467
F: 0.1616 0.3244 0.9467
F: 0.2649 0.7214 0.4297
F: 0.2649 0.7786 0.9297
F: 0.3905 0.0565 0.2743
F: 0.3905 0.4435 0.7743
F: 0.6095 0.5565 0.2257
F: 0.6095 0.9435 0.7257
F: 0.7351 0.2214 0.0703
F: 0.7351 0.2786 0.5703
F: 0.8384 0.6756 0.0533
F: 0.8384 0.8244 0.5533

Most intense lines, 10° ≤ 2θ ≤ 90°, by angle:
2θ = 19.01°, I 62; 2θ = 19.50°, I 50; 2θ = 22.26°, I 73; 2θ = 31.05°, I 23; 2θ = 31.71°, I 100; 2θ = 37.56°, I 23; 2θ = 45.38°, I 44; 2θ = 45.53°, I 23; 2θ = 55.65°, I 22; 2θ = 57.18°, I 41

# Tm3In4Co2
Computed PXRD pattern, Cu Kα (λ = 1.5418 Å). Input: the PBE geometry in the Materials Project.
Intensities are scaled so that the largest is 100.

Cell and atoms:
Cell: 7.9232 7.9232 3.5343 Å, 90.00 90.00 120.00°
Element x y z (fractional)
Tm: 0.0850 0.7089 0.0000
Tm: 0.2911 0.3761 0.0000
Tm: 0.6239 0.9150 0.0000
In: 0.0000 0.0000 0.5000
In: 0.4079 0.0780 0.5000
In: 0.6701 0.5921 0.5000
In: 0.9220 0.3299 0.5000
Co: 0.3333 0.6667 0.5000
Co: 0.6667 0.3333 0.0000

Most intense lines, 10° ≤ 2θ ≤ 90°, by angle:
2θ = 33.99°, I 100; 2θ = 34.59°, I 66; 2θ = 36.50°, I 53; 2θ = 39.39°, I 33; 2θ = 43.27°, I 25; 2θ = 51.73°, I 15; 2θ = 54.78°, I 15; 2θ = 63.73°, I 22; 2θ = 64.84°, I 29; 2θ = 66.91°, I 13